Theoretical powder XRD pattern of MnHSe2 for a wavelength of 1.5418 Å, from the GGA-PBE geometry in Alexandria.

Most intense lines, 2θ = 5–70°, most intense first:
12.53°, intensity 1000, (1 0 1); 25.22°, intensity 800, (2 0 2); 39.99°, intensity 450, (2 1 3); 34.36°, intensity 360, (0 1 3); 35.83°, intensity 281, (1 1 3); 31.11°, intensity 232, (1 1 2)

Structure:
Lattice parameters (Å, degrees): 8.978 3.580 11.440 90.00 90.00 90.00
Space group Pnma (No. 62)
One atom of each set of equivalent atoms:
Mn 0.066 0.250 0.113
H 0.142 0.750 0.329
Se 0.001 0.250 0.738
Se 0.188 0.750 0.997